Structure and computed powder X-ray diffraction pattern of Ce2Fe17C3 (DFT lattice parameters and positions (GGA-PBE); Cu Kα (weighted mean of Kα1 and Kα2)).

Most intense lines, 2θ = 15–90°, low angle first:
2θ/deg, d (Å), I/Imax
29.65, 3.013, 37
35.66, 2.518, 39
37.35, 2.408, 28
41.41, 2.180, 77
41.92, 2.155, 100
43.42, 2.084, 50
47.04, 1.932, 21
60.39, 1.533, 19
61.19, 1.515, 23
61.56, 1.506, 19

Crystal structure
```
Ce2Fe17C3
1.0
4.3609 2.5178 4.1670
-4.3609 2.5178 4.1670
0.0000 -5.0356 4.1670
Ce Fe C
2 17 3
direct
0.1580 0.1580 0.1580 Ce
0.8420 0.8420 0.8420 Ce
0.0000 0.5000 0.5000 Fe
0.1572 0.1572 0.6470 Fe
0.1572 0.6470 0.1572 Fe
0.2161 0.5000 0.7839 Fe
0.2161 0.7839 0.5000 Fe
0.3530 0.8428 0.8428 Fe
0.4048 0.4048 0.4048 Fe
0.5000 0.0000 0.5000 Fe
0.5000 0.2161 0.7839 Fe
0.5000 0.5000 0.0000 Fe
0.5000 0.7839 0.2161 Fe
0.5952 0.5952 0.5952 Fe
0.6470 0.1572 0.1572 Fe
0.7839 0.2161 0.5000 Fe
0.7839 0.5000 0.2161 Fe
0.8428 0.3530 0.8428 Fe
0.8428 0.8428 0.3530 Fe
0.0000 0.0000 0.5000 C
0.0000 0.5000 0.0000 C
0.5000 0.0000 0.0000 C
```

Structure and computed powder X-ray diffraction pattern of PmHgRh2 (DFT lattice parameters and positions (GGA-PBE); Cu Kα (weighted mean of Kα1 and Kα2)).

Most intense lines, 2θ = 15–90°, low angle first:
2θ/deg, d (Å), I/Imax
22.78, 3.904, 2
26.36, 3.381, 7
37.63, 2.391, 100
44.44, 2.039, 1
46.53, 1.952, 2
54.26, 1.690, 17
61.31, 1.512, 3
67.91, 1.380, 35
80.32, 1.195, 11
86.32, 1.127, 2

Crystal structure
```
PmHgRh2
1.0
6.7618 0.0000 0.0000
0.0000 6.7618 0.0000
0.0000 0.0000 6.7618
Pm Hg Rh
4 4 8
direct
0.0000 0.0000 0.0000 Pm
0.0000 0.5000 0.5000 Pm
0.5000 0.0000 0.5000 Pm
0.5000 0.5000 0.0000 Pm
0.0000 0.0000 0.5000 Hg
0.0000 0.5000 0.0000 Hg
0.5000 0.0000 0.0000 Hg
0.5000 0.5000 0.5000 Hg
0.2500 0.2500 0.2500 Rh
0.2500 0.2500 0.7500 Rh
0.2500 0.7500 0.2500 Rh
0.2500 0.7500 0.7500 Rh
0.7500 0.2500 0.2500 Rh
0.7500 0.2500 0.7500 Rh
0.7500 0.7500 0.2500 Rh
0.7500 0.7500 0.7500 Rh
```

Structure and computed powder X-ray diffraction pattern of Pu2S3 (DFT lattice parameters and positions (GGA-PBE); Cu Kα (weighted mean of Kα1 and Kα2)).

Most intense lines, 2θ = 15–90°, low angle first:
2θ/deg, d (Å), I/Imax
26.15, 3.408, 58
26.26, 3.393, 100
33.89, 2.645, 32
34.15, 2.626, 75
40.44, 2.231, 28
40.62, 2.221, 42
49.03, 1.858, 36
51.46, 1.776, 25
56.53, 1.628, 20
69.75, 1.348, 19

Crystal structure
```
Pu2S3
1.0
-4.1499 4.1499 12.5581
4.1499 -4.1499 12.5581
4.1499 4.1499 -12.5581
Pu S
16 24
direct
0.0441 0.4238 0.8898 Pu
0.1652 0.1652 0.0000 Pu
0.1738 0.2941 0.3898 Pu
0.2160 0.8262 0.1203 Pu
0.2548 0.1250 0.6298 Pu
0.3750 0.7452 0.8702 Pu
0.4952 0.6250 0.3702 Pu
0.5340 0.1543 0.1102 Pu
0.5762 0.4660 0.6203 Pu
0.5848 0.0848 0.5000 Pu
0.7059 0.0957 0.8797 Pu
0.8348 0.8348 0.0000 Pu
0.8457 0.9559 0.3797 Pu
0.8750 0.5048 0.1298 Pu
0.9043 0.7840 0.6102 Pu
0.9152 0.4152 0.5000 Pu
0.0085 0.1065 0.2489 S
0.0707 0.8259 0.6040 S
0.1741 0.7781 0.2448 S
0.1853 0.5940 0.7474 S
0.1879 0.0966 0.7526 S
0.2167 0.4719 0.8960 S
0.2219 0.4667 0.3960 S
0.2404 0.9915 0.0980 S
0.3440 0.4353 0.2474 S
0.4060 0.1534 0.5913 S
0.5096 0.1076 0.2511 S
0.5281 0.4241 0.7448 S
0.5333 0.9293 0.7552 S
0.5621 0.8147 0.4087 S
0.5647 0.8121 0.9087 S
0.5759 0.3207 0.1040 S
0.6793 0.7833 0.2552 S
0.7415 0.4904 0.5980 S
0.8466 0.4379 0.2526 S
0.8565 0.2585 0.7489 S
0.8576 0.7596 0.7511 S
0.8924 0.1435 0.4020 S
0.8935 0.1424 0.9020 S
0.9034 0.6560 0.0913 S
```